Diffraction record for HoTl2WO6. The XRD peak list is theoretical, not measured: it uses a structure optimized by DFT (PBE+U) and Cu Kα (weighted mean of Kα1 and Kα2).

Largest 8 diffraction maxima, by angle, 15° ≤ 2θ ≤ 90°:
2theta	I/Imax	index
30.1	100.0	1 1 1
43.1	25.7	2 2 -2
53.5	42.1	2 0 2
62.6	16.3	0 4 0
71.0	15.3	3 3 -1
79.0	4.1	0 4 4
86.8	11.5	5 1 -7
86.9	11.1	3 1 -9

Structural model:
Unit cell a=5.9394 b=5.9354 c=10.2716 alpha=90.00 beta=125.26 gamma=90.00
Element x y z (fractional)
Ho (0.0000, 0.0000, 0.0000)
Ho (0.0000, 0.5000, 0.5000)
Tl (0.2524, 0.0058, 0.7503)
Tl (0.2524, 0.4942, 0.2503)
Tl (0.7476, 0.5058, 0.7497)
Tl (0.7476, 0.9942, 0.2497)
W (0.5000, 0.0000, 0.5000)
W (0.5000, 0.5000, 0.0000)
O (0.2235, 0.0027, 0.2684)
O (0.2235, 0.4973, 0.7684)
O (0.2760, 0.7164, 0.0233)
O (0.2760, 0.7836, 0.5233)
O (0.3081, 0.2488, 0.5228)
O (0.3081, 0.2512, 0.0228)
O (0.6919, 0.7488, 0.9772)
O (0.6919, 0.7512, 0.4772)
O (0.7240, 0.2164, 0.4767)
O (0.7240, 0.2836, 0.9767)
O (0.7765, 0.5027, 0.2316)
O (0.7765, 0.9973, 0.7316)